[1]
Structure and simulated powder diffraction line list of V8GaGeS16 (a crystal structure in Alexandria, relaxed with PBE; a wavelength of 1.5418 Å).

Top 8 peaks for 10° ≤ 2θ ≤ 80°, low angle first:
| 2theta | I/Imax |
| --- | --- |
| 15.81 | 34 |
| 18.28 | 41 |
| 25.96 | 30 |
| 30.54 | 94 |
| 37.05 | 88 |
| 45.79 | 35 |
| 48.75 | 66 |
| 53.39 | 100 |

Atomic structure:
```
data_V8GaGeS16
_symmetry_space_group_name_H-M 'P 1'
_symmetry_Int_Tables_number 1
_cell_length_a 6.861
_cell_length_b 6.861
_cell_length_c 9.713
_cell_angle_alpha 90.00
_cell_angle_beta 90.00
_cell_angle_gamma 90.00
loop_
_symmetry_equiv_pos_as_xyz
'x,y,z'
loop_
_atom_site_label
_atom_site_type_symbol
_atom_site_fract_x
_atom_site_fract_y
_atom_site_fract_z
_atom_site_occupancy
V1 V 0.000 0.208 0.105 1
V2 V 0.000 0.792 0.105 1
V3 V 0.208 0.000 0.895 1
V4 V 0.289 0.500 0.396 1
V5 V 0.500 0.289 0.604 1
V6 V 0.500 0.711 0.604 1
V7 V 0.711 0.500 0.396 1
V8 V 0.792 0.000 0.895 1
Ga1 Ga 0.000 0.000 0.500 1
Ge1 Ge 0.500 0.500 0.000 1
S1 S 0.000 0.259 0.871 1
S2 S 0.000 0.274 0.362 1
S3 S 0.000 0.726 0.362 1
S4 S 0.000 0.741 0.871 1
S5 S 0.228 0.500 0.136 1
S6 S 0.241 0.500 0.629 1
S7 S 0.259 0.000 0.129 1
S8 S 0.274 0.000 0.638 1
S9 S 0.500 0.228 0.864 1
S10 S 0.500 0.241 0.371 1
S11 S 0.500 0.759 0.371 1
S12 S 0.500 0.772 0.864 1
S13 S 0.726 0.000 0.638 1
S14 S 0.741 0.000 0.129 1
S15 S 0.759 0.500 0.629 1
S16 S 0.772 0.500 0.136 1
```



[2]
Structure and simulated powder diffraction line list of V12GaGe2S24 (a crystal structure in Alexandria, relaxed with PBE; a wavelength of 1.5418 Å).

Top 8 peaks for 10° ≤ 2θ ≤ 80°, low angle first:
| 2theta | I/Imax |
| --- | --- |
| 15.82 | 34 |
| 18.28 | 42 |
| 25.97 | 31 |
| 30.55 | 94 |
| 37.06 | 88 |
| 45.81 | 36 |
| 48.76 | 67 |
| 53.41 | 100 |

Atomic structure:
```
data_V12GaGe2S24
_symmetry_space_group_name_H-M 'P 1'
_symmetry_Int_Tables_number 1
_cell_length_a 11.883
_cell_length_b 11.883
_cell_length_c 11.883
_cell_angle_alpha 146.43
_cell_angle_beta 60.02
_cell_angle_gamma 131.79
loop_
_symmetry_equiv_pos_as_xyz
'x,y,z'
loop_
_atom_site_label
_atom_site_type_symbol
_atom_site_fract_x
_atom_site_fract_y
_atom_site_fract_z
_atom_site_occupancy
V1 V 0.069 0.000 0.069 1
V2 V 0.125 0.000 0.543 1
V3 V 0.125 0.582 0.125 1
V4 V 0.263 0.998 0.265 1
V5 V 0.403 0.999 0.404 1
V6 V 0.457 0.000 0.875 1
V7 V 0.457 0.582 0.457 1
V8 V 0.596 0.999 0.596 1
V9 V 0.734 0.998 0.735 1
V10 V 0.790 0.583 0.792 1
V11 V 0.790 0.998 0.208 1
V12 V 0.931 0.000 0.931 1
Ga1 Ga 0.395 0.395 0.000 1
Ge1 Ge 0.062 0.395 0.667 1
Ge2 Ge 0.728 0.395 0.333 1
S1 S 0.013 0.765 0.248 1
S2 S 0.015 0.258 0.757 1
S3 S 0.024 0.284 0.259 1
S4 S 0.024 0.765 0.741 1
S5 S 0.166 0.257 0.908 1
S6 S 0.185 0.765 0.420 1
S7 S 0.198 0.258 0.394 1
S8 S 0.198 0.804 0.940 1
S9 S 0.345 0.765 0.580 1
S10 S 0.349 0.257 0.092 1
S11 S 0.359 0.283 0.593 1
S12 S 0.359 0.766 0.075 1
S13 S 0.500 0.258 0.243 1
S14 S 0.517 0.765 0.752 1
S15 S 0.533 0.259 0.726 1
S16 S 0.533 0.807 0.274 1
S17 S 0.680 0.766 0.913 1
S18 S 0.684 0.260 0.424 1
S19 S 0.690 0.283 0.925 1
S20 S 0.690 0.766 0.407 1
S21 S 0.836 0.260 0.576 1
S22 S 0.853 0.766 0.087 1
S23 S 0.864 0.258 0.060 1
S24 S 0.864 0.804 0.606 1
```



[3]
Structure and simulated powder diffraction line list of GaGeSb (a crystal structure in Alexandria, relaxed with PBE; a wavelength of 1.5418 Å).

Top 8 peaks for 10° ≤ 2θ ≤ 80°, low angle first:
| 2theta | I/Imax |
| --- | --- |
| 23.10 | 33 |
| 24.11 | 28 |
| 30.20 | 59 |
| 30.58 | 100 |
| 30.99 | 62 |
| 45.76 | 28 |
| 46.09 | 48 |
| 47.21 | 23 |

Atomic structure:
```
data_GaGeSb
_symmetry_space_group_name_H-M 'P 1'
_symmetry_Int_Tables_number 1
_cell_length_a 4.267
_cell_length_b 4.626
_cell_length_c 4.355
_cell_angle_alpha 90.00
_cell_angle_beta 117.86
_cell_angle_gamma 90.00
loop_
_symmetry_equiv_pos_as_xyz
'x,y,z'
loop_
_atom_site_label
_atom_site_type_symbol
_atom_site_fract_x
_atom_site_fract_y
_atom_site_fract_z
_atom_site_occupancy
Ga1 Ga 0.000 0.000 0.000 1
Ge1 Ge 0.000 0.717 0.500 1
Sb1 Sb 0.500 0.350 0.500 1
```



Q: What is the formula in the first record?
A: V8GaGeS16